The following is a computed powder XRD pattern of HfMg. It was derived from a cell relaxed with GGA-PBE, using Cu Kα.
Kinematic intensities with the Lorentz-polarization factor, no thermal factor.

Cell and atoms:
Cell lengths 3.0317, 3.0317, 11.4241 Å; angles 90.00, 90.00, 120.00 degrees
Positions (direct):
Hf 0.3333 0.6667 0.0000
Hf 0.6667 0.3333 0.5000
Mg 0.3333 0.6667 0.7314
Mg 0.6667 0.3333 0.2314

Most intense lines, 2θ from 10° to 80°, by angle:
2theta  Rel. int.  h k l
15.5  1000  0 0 2
31.3  332  0 0 4
34.1  203  1 0 0
35.1  852  1 0 1
37.7  174  1 0 2
41.8  598  1 0 3
47.0  163  1 0 4
53.1  231  1 0 5
67.6  159  1 0 7
70.3  196  1 1 4